This entry pairs a crystal structure of PuTa2Ti6 with its simulated X-ray diffraction stick pattern. Radiation: Cu Kα (λ = 1.5418 Å). Structure: a DFT-relaxed cell (GGA-PBE, Alexandria).

Cell and atoms:
```
PuTa2Ti6
1.0
7.272 0.000 0.000
0.000 2.843 0.000
-1.730 0.000 7.852
Pu Ta Ti
1 2 6
Direct
0.000 0.000 0.000 Pu
0.358 0.500 0.229 Ta
0.642 0.500 0.771 Ta
0.001 0.500 0.335 Ti
0.321 0.000 0.541 Ti
0.334 0.000 0.891 Ti
0.666 0.000 0.109 Ti
0.679 0.000 0.459 Ti
0.999 0.500 0.665 Ti
```

The 10 most intense peaks (2θ from 10° to 90°), in order of falling intensity:
| hkl | d (Å) | 2θ/deg | intensity |
| --- | --- | --- | --- |
| 1 0 3 | 2.302 | 39.13 | 100 |
| 2 0 -3 | 2.365 | 38.04 | 88 |
| 1 0 -1 | 5.941 | 14.91 | 73 |
| 1 1 1 | 2.444 | 36.78 | 59 |
| 2 1 -1 | 2.215 | 40.73 | 55 |
| 0 0 1 | 7.852 | 11.27 | 46 |
| 1 0 -2 | 3.799 | 23.41 | 32 |
| 3 1 -2 | 1.766 | 51.77 | 26 |
| 2 0 1 | 3.002 | 29.76 | 25 |
| 2 2 -3 | 1.218 | 78.50 | 21 |